Entry 1:
Calculated powder diffraction line list of KLuMo2O8 for copper Kα, from a GGA+U-relaxed structure.

Lattice parameters (Å, degrees): 5.974 5.974 7.490 90.00 90.00 120.00
Sites, in units of the cell vectors:
1 K 0.000 0.000 0.000
2 Lu 0.000 0.000 0.500
3 Mo 0.333 0.667 0.756
4 Mo 0.667 0.333 0.244
5 O 0.167 0.334 0.680
6 O 0.167 0.833 0.680
7 O 0.333 0.667 0.990
8 O 0.334 0.167 0.320
9 O 0.666 0.833 0.680
10 O 0.667 0.333 0.010
11 O 0.833 0.167 0.320
12 O 0.833 0.666 0.320

Principal peaks in the range 5 to 70 degrees two-theta, most intense first:
20.87°, d = 4.257 Å, I 100.0, hkl 0 1 1; 29.91°, d = 2.987 Å, I 52.0, hkl 1 1 0; 29.44°, d = 3.034 Å, I 51.7, hkl 0 1 2; 42.47°, d = 2.128 Å, I 26.3, hkl 0 2 2; 48.09°, d = 1.892 Å, I 20.6, hkl 1 2 1; 52.81°, d = 1.733 Å, I 20.1, hkl 1 2 2; 58.15°, d = 1.586 Å, I 17.4, hkl 1 1 4; 17.14°, d = 5.174 Å, I 15.6, hkl 1 0 0; 11.82°, d = 7.490 Å, I 15.2, hkl 0 0 1; 40.10°, d = 2.248 Å, I 12.1, hkl 1 0 3


Entry 2:
Calculated powder diffraction line list of KLuMo2O8 for copper Kα, from a GGA+U-relaxed structure.

Lattice parameters (Å, degrees): 5.081 18.948 7.938 90.00 90.00 90.00
Sites, in units of the cell vectors:
1 K 0.000 0.223 0.250
2 K 0.000 0.777 0.750
3 K 0.500 0.277 0.750
4 K 0.500 0.723 0.250
5 Lu 0.000 0.003 0.750
6 Lu 0.000 0.997 0.250
7 Lu 0.500 0.497 0.250
8 Lu 0.500 0.503 0.750
9 Mo 0.023 0.402 0.508
10 Mo 0.023 0.598 0.008
11 Mo 0.477 0.098 0.008
12 Mo 0.477 0.902 0.508
13 Mo 0.523 0.098 0.492
14 Mo 0.523 0.902 0.992
15 Mo 0.977 0.402 0.992
16 Mo 0.977 0.598 0.492
17 O 0.097 0.315 0.988
18 O 0.097 0.685 0.488
19 O 0.239 0.407 0.329
20 O 0.239 0.593 0.829
21 O 0.244 0.034 0.504
22 O 0.244 0.966 0.004
23 O 0.245 0.410 0.687
24 O 0.245 0.590 0.187
25 O 0.255 0.090 0.187
26 O 0.255 0.910 0.687
27 O 0.256 0.466 0.004
28 O 0.256 0.534 0.504
29 O 0.261 0.093 0.829
30 O 0.261 0.907 0.329
31 O 0.403 0.185 0.488
32 O 0.403 0.815 0.988
33 O 0.597 0.185 0.012
34 O 0.597 0.815 0.512
35 O 0.739 0.093 0.671
36 O 0.739 0.907 0.171
37 O 0.744 0.466 0.496
38 O 0.744 0.534 0.996
39 O 0.745 0.090 0.313
40 O 0.745 0.910 0.813
41 O 0.755 0.410 0.813
42 O 0.755 0.590 0.313
43 O 0.756 0.034 0.996
44 O 0.756 0.966 0.496
45 O 0.761 0.407 0.171
46 O 0.761 0.593 0.671
47 O 0.903 0.315 0.512
48 O 0.903 0.685 0.012

Principal peaks in the range 5 to 70 degrees two-theta, most intense first:
9.34°, d = 9.474 Å, I 100.0, hkl 0 2 0; 28.93°, d = 3.086 Å, I 64.8, hkl 1 1 2; 29.38°, d = 3.040 Å, I 61.1, hkl 1 5 0; 22.46°, d = 3.959 Å, I 27.9, hkl 1 3 0; 46.57°, d = 1.950 Å, I 22.4, hkl 2 4 2; 51.57°, d = 1.772 Å, I 18.8, hkl 2 6 2; 55.29°, d = 1.661 Å, I 11.8, hkl 1 5 4; 52.39°, d = 1.747 Å, I 11.6, hkl 1 9 2; 35.33°, d = 2.541 Å, I 9.3, hkl 2 0 0; 36.35°, d = 2.471 Å, I 8.6, hkl 0 6 2